Entry 1:
The following is a calculated powder diffraction line list of TbSb2. It was derived from a GGA-PBE-relaxed structure, using a wavelength of 1.5418 Å.
No peak broadening, texture or thermal motion is included.

Main lines, in order of rising 2θ (2θ from 5° to 70°):
2theta, I_rel
25.40, 16
28.73, 19
30.01, 42
30.47, 50
33.16, 100
35.19, 48
36.60, 31
41.95, 56
49.13, 15
50.56, 12
55.61, 27
69.86, 31

Crystal structure
```
data_TbSb2
_chemical_formula_sum 'Tb8 Sb16'
_cell_length_a 6.212
_cell_length_b 6.063
_cell_length_c 17.867
_cell_angle_alpha 90.00
_cell_angle_beta 90.00
_cell_angle_gamma 90.00
_space_group_name_H-M_alt 'C m c e'
_space_group_IT_number 64
_space_group_name_Hall '-C 2ac 2'
loop_
_atom_site_label
_atom_site_type_symbol
_atom_site_fract_x
_atom_site_fract_y
_atom_site_fract_z
_atom_site_occupancy
Tb1 Tb 0.000 0.142 0.110 1
Sb1 Sb 0.000 0.140 0.435 1
Sb2 Sb 0.250 0.126 0.750 1
```

=====

Entry 2:
The following is a calculated powder diffraction line list of TbY3Sb4. It was derived from a GGA-PBE-relaxed structure, using a wavelength of 1.5418 Å.
No peak broadening, texture or thermal motion is included.

Main lines, in order of rising 2θ (2θ from 5° to 70°):
2theta, I_rel
14.26, 3
20.22, 2
24.84, 1
28.75, 100
32.24, 2
35.41, 1
41.12, 75
43.73, 1
50.95, 27
55.36, 1
59.55, 12
67.45, 34

Crystal structure
```
data_TbY3Sb4
_chemical_formula_sum 'Tb1 Y3 Sb4'
_cell_length_a 6.209
_cell_length_b 6.209
_cell_length_c 6.209
_cell_angle_alpha 90.00
_cell_angle_beta 90.00
_cell_angle_gamma 90.00
_space_group_name_H-M_alt 'P m -3 m'
_space_group_IT_number 221
_space_group_name_Hall '-P 4 2 3'
loop_
_atom_site_label
_atom_site_type_symbol
_atom_site_fract_x
_atom_site_fract_y
_atom_site_fract_z
_atom_site_occupancy
Tb1 Tb 0.000 0.000 0.000 1
Y1 Y 0.000 0.500 0.500 1
Sb1 Sb 0.000 0.000 0.500 1
Sb2 Sb 0.500 0.500 0.500 1
```

=====

Entry 3:
The following is a calculated powder diffraction line list of Tc2Sb9. It was derived from a GGA-PBE-relaxed structure, using a wavelength of 1.5418 Å.
No peak broadening, texture or thermal motion is included.

Main lines, in order of rising 2θ (2θ from 5° to 70°):
2theta, I_rel
12.95, 100
13.37, 30
26.85, 38
30.72, 33
31.21, 39
31.58, 56
33.62, 76
34.24, 39
34.82, 35
34.91, 26
37.15, 39
45.48, 35

Crystal structure
```
data_Tc2Sb9
_chemical_formula_sum 'Tc4 Sb18'
_cell_length_a 8.448
_cell_length_b 8.677
_cell_length_c 8.859
_cell_angle_alpha 99.07
_cell_angle_beta 104.66
_cell_angle_gamma 94.27
_space_group_name_H-M_alt 'P -1'
_space_group_IT_number 2
_space_group_name_Hall '-P 1'
loop_
_atom_site_label
_atom_site_type_symbol
_atom_site_fract_x
_atom_site_fract_y
_atom_site_fract_z
_atom_site_occupancy
Tc1 Tc 0.119 0.100 0.146 1
Tc2 Tc 0.347 0.414 0.380 1
Sb1 Sb 0.063 0.270 0.413 1
Sb2 Sb 0.081 0.582 0.280 1
Sb3 Sb 0.162 0.796 0.022 1
Sb4 Sb 0.182 0.940 0.405 1
Sb5 Sb 0.183 0.048 0.845 1
Sb6 Sb 0.228 0.376 0.055 1
Sb7 Sb 0.333 0.574 0.675 1
Sb8 Sb 0.449 0.118 0.299 1
Sb9 Sb 0.492 0.700 0.349 1
```

=====

Entry 4:
The following is a calculated powder diffraction line list of Tc3Sb7. It was derived from a GGA-PBE-relaxed structure, using a wavelength of 1.5418 Å.
No peak broadening, texture or thermal motion is included.

Main lines, in order of rising 2θ (2θ from 5° to 70°):
2theta, I_rel
22.13, 24
22.30, 24
28.82, 29
29.23, 39
34.09, 100
34.21, 87
34.56, 41
35.14, 48
39.76, 35
41.12, 25
41.91, 63
58.45, 28

Crystal structure
```
data_Tc3Sb7
_chemical_formula_sum 'Tc18 Sb42'
_cell_length_a 13.9165
_cell_length_b 13.9165
_cell_length_c 8.2373
_cell_angle_alpha 90.00
_cell_angle_beta 90.00
_cell_angle_gamma 120.00
_space_group_name_H-M_alt 'R -3'
_space_group_IT_number 148
_space_group_name_Hall '-R 3'
loop_
_atom_site_label
_atom_site_type_symbol
_atom_site_fract_x
_atom_site_fract_y
_atom_site_fract_z
_atom_site_occupancy
Tc1 Tc 0.0236 0.1954 0.2328 1
Sb1 Sb 0.0000 0.0000 0.3136 1
Sb2 Sb 0.0314 0.2142 0.8956 1
Sb3 Sb 0.0737 0.5786 0.1568 1
```

=====

Entry 5:
The following is a calculated powder diffraction line list of Tc2Sb9. It was derived from a GGA-PBE-relaxed structure, using a wavelength of 1.5418 Å.
No peak broadening, texture or thermal motion is included.

Main lines, in order of rising 2θ (2θ from 5° to 70°):
2theta, I_rel
12.86, 86
13.67, 40
26.62, 40
30.60, 42
31.08, 66
32.46, 58
34.10, 100
34.80, 43
35.80, 65
37.10, 38
39.70, 27
46.69, 43

Crystal structure
```
data_Tc2Sb9
_chemical_formula_sum 'Tc8 Sb36'
_cell_length_a 10.569
_cell_length_b 13.766
_cell_length_c 8.706
_cell_angle_alpha 90.00
_cell_angle_beta 101.46
_cell_angle_gamma 90.00
_space_group_name_H-M_alt 'C 1 2/c 1'
_space_group_IT_number 15
_space_group_name_Hall '-C 2yc'
loop_
_atom_site_label
_atom_site_type_symbol
_atom_site_fract_x
_atom_site_fract_y
_atom_site_fract_z
_atom_site_occupancy
Tc1 Tc 0.115 0.238 0.406 1
Sb1 Sb 0.000 0.077 0.250 1
Sb2 Sb 0.057 0.149 0.929 1
Sb3 Sb 0.117 0.334 0.121 1
Sb4 Sb 0.167 0.321 0.703 1
Sb5 Sb 0.246 0.419 0.440 1
```

=====

Entry 6:
The following is a calculated powder diffraction line list of TcSb2. It was derived from a GGA-PBE-relaxed structure, using a wavelength of 1.5418 Å.
No peak broadening, texture or thermal motion is included.

Main lines, in order of rising 2θ (2θ from 5° to 70°):
2theta, I_rel
20.83, 23
25.62, 62
31.50, 82
39.56, 69
41.06, 100
42.39, 15
46.48, 16
49.01, 16
52.65, 19
58.34, 22
60.49, 32
68.86, 17

Crystal structure
```
data_TcSb2
_chemical_formula_sum 'Tc2 Sb4'
_cell_length_a 4.3961
_cell_length_b 4.3961
_cell_length_c 8.5301
_cell_angle_alpha 90.00
_cell_angle_beta 90.00
_cell_angle_gamma 120.00
_space_group_name_H-M_alt 'P 63 m c'
_space_group_IT_number 186
_space_group_name_Hall 'P 6c -2c'
loop_
_atom_site_label
_atom_site_type_symbol
_atom_site_fract_x
_atom_site_fract_y
_atom_site_fract_z
_atom_site_occupancy
Tc1 Tc 0.3333 0.6667 0.0000 1
Sb1 Sb 0.0000 0.0000 0.0630 1
Sb2 Sb 0.3333 0.6667 0.3249 1
```

=====

Entry 7:
The following is a calculated powder diffraction line list of TcSbTe. It was derived from a GGA-PBE-relaxed structure, using a wavelength of 1.5418 Å.
No peak broadening, texture or thermal motion is included.

Main lines, in order of rising 2θ (2θ from 5° to 70°):
2theta, I_rel
30.36, 97
30.64, 38
30.71, 38
32.73, 29
33.48, 100
42.74, 67
42.86, 26
47.54, 33
48.74, 56
48.96, 29
55.04, 22
64.15, 22

Crystal structure
```
data_TcSbTe
_chemical_formula_sum 'Tc4 Sb4 Te4'
_cell_length_a 6.674
_cell_length_b 6.765
_cell_length_c 6.843
_cell_angle_alpha 90.00
_cell_angle_beta 119.05
_cell_angle_gamma 90.00
_space_group_name_H-M_alt 'P 1 21/c 1'
_space_group_IT_number 14
_space_group_name_Hall '-P 2ybc'
loop_
_atom_site_label
_atom_site_type_symbol
_atom_site_fract_x
_atom_site_fract_y
_atom_site_fract_z
_atom_site_occupancy
Tc1 Tc 0.245 0.002 0.001 1
Sb1 Sb 0.348 0.655 0.199 1
Te1 Te 0.158 0.134 0.322 1
```

=====

Entry 8:
The following is a calculated powder diffraction line list of TlSb5W3. It was derived from a GGA-PBE-relaxed structure, using a wavelength of 1.5418 Å.
No peak broadening, texture or thermal motion is included.

Main lines, in order of rising 2θ (2θ from 5° to 70°):
2theta, I_rel
10.35, 60
21.08, 24
27.84, 36
31.39, 17
32.01, 37
33.73, 20
36.59, 20
37.13, 24
38.65, 29
42.29, 22
42.93, 100
66.96, 30

Crystal structure
```
data_TlSb5W3
_chemical_formula_sum 'Tl1 Sb5 W3'
_cell_length_a 5.5918
_cell_length_b 5.5918
_cell_length_c 8.5489
_cell_angle_alpha 90.00
_cell_angle_beta 90.00
_cell_angle_gamma 120.00
_space_group_name_H-M_alt 'P 6/m m m'
_space_group_IT_number 191
_space_group_name_Hall '-P 6 2'
loop_
_atom_site_label
_atom_site_type_symbol
_atom_site_fract_x
_atom_site_fract_y
_atom_site_fract_z
_atom_site_occupancy
Tl1 Tl 0.0000 0.0000 0.0000 1
Sb1 Sb 0.0000 0.0000 0.5000 1
Sb2 Sb 0.3333 0.6667 0.2199 1
W1 W 0.0000 0.5000 0.5000 1
```